# 1
Starting from a PBE-relaxed structure, the X-ray powder pattern of YTm2Al3Ni3 was calculated for Cu Kα.
Neutral-atom scattering factors, no anomalous dispersion.

Top 6 peaks for 2θ from 15° to 90°, by angle:
22.69 deg, intensity 24.8
25.99 deg, intensity 34.7
34.77 deg, intensity 99.6
38.03 deg, intensity 100.0
40.14 deg, intensity 25.5
46.33 deg, intensity 23.9

Crystal structure
Cell lengths 3.919, 6.863, 6.863 Å; angles 120.21, 90.00, 90.00 degrees
Fractional coordinates of all 9 atoms:
Y: 0.000 0.000 0.000
Tm: 0.000 0.416 0.832
Tm: 0.000 0.832 0.416
Al: 0.500 0.180 0.418
Al: 0.500 0.418 0.180
Al: 0.500 0.654 0.654
Ni: 0.000 0.421 0.421
Ni: 0.500 0.086 0.746
Ni: 0.500 0.746 0.086

# 2
Starting from a PBE-relaxed structure, the X-ray powder pattern of K3NaAg2As2 was calculated for Cu Kα.
Neutral-atom scattering factors, no anomalous dispersion.

Top 6 peaks for 2θ from 15° to 90°, by angle:
18.22 deg, intensity 100.0
29.99 deg, intensity 40.0
33.24 deg, intensity 42.6
33.42 deg, intensity 40.9
33.57 deg, intensity 58.6
37.92 deg, intensity 61.6

Crystal structure
Cell lengths 5.952, 6.198, 6.321 Å; angles 77.82, 89.91, 89.96 degrees
Fractional coordinates of all 8 atoms:
K: 0.000 0.000 0.000
K: 0.000 0.356 0.338
K: 0.500 0.070 0.628
Na: 0.498 0.706 0.292
Ag: 0.250 0.540 0.807
Ag: 0.750 0.540 0.807
As: 0.001 0.803 0.538
As: 0.500 0.291 0.086

# 3
Starting from a PBE-relaxed structure, the X-ray powder pattern of YEr2Tm2Lu2Ni2S2 was calculated for Cu Kα.
Neutral-atom scattering factors, no anomalous dispersion.

Top 6 peaks for 2θ from 15° to 90°, by angle:
30.38 deg, intensity 37.3
31.76 deg, intensity 63.5
32.21 deg, intensity 38.7
35.10 deg, intensity 58.2
35.84 deg, intensity 100.0
36.32 deg, intensity 60.7

Crystal structure
Cell lengths 8.782, 8.782, 8.782 Å; angles 155.50, 67.45, 118.27 degrees
Fractional coordinates of all 11 atoms:
Y: 0.000 0.000 0.000
Er: 0.611 0.247 0.364
Er: 0.882 0.247 0.636
Tm: 0.282 0.403 0.880
Tm: 0.523 0.403 0.120
Lu: 0.296 0.611 0.685
Lu: 0.926 0.611 0.315
Ni: 0.156 0.915 0.241
Ni: 0.674 0.915 0.759
S: 0.249 0.749 0.500
S: 0.653 0.653 0.000